For Li3Mo2P3O12, a structure optimized by DFT (GGA+U) gives the simulated XRD peak list in this record (Cu Ka).
Kinematic intensities with the Lorentz-polarization factor, no thermal factor.

Most intense lines, 10 to 80 degrees two-theta, low angle first:
2θ 13.83, I 385, (2 0 0); 2θ 19.33, I 666, (1 1 1); 2θ 19.81, I 563, (0 2 0); 2θ 20.15, I 730, (2 0 -2); 2θ 20.25, I 1000, (3 1 -1); 2θ 23.12, I 893, (1 1 -2); 2θ 23.52, I 391, (2 2 -1); 2θ 27.86, I 397, (4 0 0); 2θ 28.41, I 703, (2 2 -2); 2θ 34.40, I 699, (1 3 1)

Crystal structure
```
data_Li3Mo2P3O12
_chemical_formula_sum 'Li12 Mo8 P12 O48'
_symmetry_space_group_name_H-M 'C 1 2/c 1'
_symmetry_Int_Tables_number 15
_cell_length_a 15.1008
_cell_length_b 8.9621
_cell_length_c 8.8321
_cell_angle_alpha 90.00
_cell_angle_beta 121.99
_cell_angle_gamma 90.00
loop_
_symmetry_equiv_pos_as_xyz
'x,y,z'
'-x,-y,-z'
'-x,y,-z+1/2'
'x,-y,z+1/2'
'x+1/2,y+1/2,z'
'-x+1/2,-y+1/2,-z'
'-x+1/2,y+1/2,-z+1/2'
'x+1/2,-y+1/2,z+1/2'
loop_
_atom_site_label
_atom_site_type_symbol
_atom_site_fract_x
_atom_site_fract_y
_atom_site_fract_z
Li1 Li 0.0000 0.1301 0.2500
Li2 Li 0.1829 0.3757 0.2920
Mo1 Mo 0.1052 0.2468 0.6391
P1 P 0.0000 0.4455 0.2500
P2 P 0.1401 0.1158 0.0500
O1 O 0.0443 0.1531 0.0640
O2 O 0.0610 0.4610 0.6870
O3 O 0.0869 0.3421 0.3958
O4 O 0.1132 0.1386 0.8589
O5 O 0.1717 0.0514 0.5940
O6 O 0.2299 0.2136 0.1937
```